Theoretical XRD peak list
Compound: PdSe
Radiation: a wavelength of 1.5418 Å
Structure: a structure optimized by DFT (GGA-PBE)

Structure:
abc: 3.7974 3.7974 6.3296
angles: 90.00 90.00 90.00
Element x y z (fractional)
Pd  0.0000  0.5000  0.0000
Pd  0.5000  0.0000  0.5000
Se  0.0000  0.0000  0.2500
Se  0.0000  0.0000  0.7500

Main lines, in order of rising 2θ (15 to 90 degrees two-theta):
2θ = 23.43°, rel. 40
2θ = 27.39°, rel. 100
2θ = 36.98°, rel. 24
2θ = 44.24°, rel. 80
2θ = 47.91°, rel. 32
2θ = 49.42°, rel. 19
2θ = 56.07°, rel. 26
2θ = 71.29°, rel. 13
2θ = 78.72°, rel. 14
2θ = 86.73°, rel. 23



Theoretical XRD peak list
Compound: Cr4C23
Radiation: a wavelength of 1.5418 Å
Structure: a structure optimized by DFT (GGA-PBE)

Structure:
abc: 7.2094 7.2094 6.9008
angles: 90.00 90.00 90.00
Element x y z (fractional)
Cr  0.0000  0.0000  0.2500
Cr  0.0000  0.0000  0.7500
Cr  0.0000  0.5000  0.0000
Cr  0.1735  0.5000  0.5000
Cr  0.5000  0.0000  0.5000
Cr  0.5000  0.1735  0.0000
Cr  0.5000  0.8265  0.0000
Cr  0.8265  0.5000  0.5000
C  0.0000  0.2127  0.5000
C  0.0000  0.3286  0.3127
C  0.0000  0.3286  0.6873
C  0.0000  0.6714  0.3127
C  0.0000  0.6714  0.6873
C  0.0000  0.7873  0.5000
C  0.1135  0.2076  0.0000
C  0.1135  0.7924  0.0000
C  0.1811  0.3113  0.1887
C  0.1811  0.3113  0.8113
C  0.1811  0.6887  0.1887
C  0.1811  0.6887  0.8113
C  0.2076  0.1135  0.5000
C  0.2076  0.8865  0.5000
C  0.2127  0.0000  0.0000
C  0.3012  0.5000  0.1230
C  0.3012  0.5000  0.8770
C  0.3113  0.1811  0.3113
C  0.3113  0.1811  0.6887
C  0.3113  0.8189  0.3113
C  0.3113  0.8189  0.6887
C  0.3286  0.0000  0.1873
C  0.3286  0.0000  0.8127
C  0.5000  0.3012  0.3770
C  0.5000  0.3012  0.6230
C  0.5000  0.5000  0.2500
C  0.5000  0.5000  0.7500
C  0.5000  0.6988  0.3770
C  0.5000  0.6988  0.6230
C  0.6714  0.0000  0.1873
C  0.6714  0.0000  0.8127
C  0.6887  0.1811  0.3113
C  0.6887  0.1811  0.6887
C  0.6887  0.8189  0.3113
C  0.6887  0.8189  0.6887
C  0.6988  0.5000  0.1230
C  0.6988  0.5000  0.8770
C  0.7873  0.0000  0.0000
C  0.7924  0.1135  0.5000
C  0.7924  0.8865  0.5000
C  0.8189  0.3113  0.1887
C  0.8189  0.3113  0.8113
C  0.8189  0.6887  0.1887
C  0.8189  0.6887  0.8113
C  0.8865  0.2076  0.0000
C  0.8865  0.7924  0.0000

Main lines, in order of rising 2θ (15 to 90 degrees two-theta):
2θ = 17.40°, rel. 24
2θ = 24.70°, rel. 30
2θ = 27.67°, rel. 28
2θ = 31.30°, rel. 90
2θ = 41.73°, rel. 33
2θ = 46.03°, rel. 65
2θ = 46.85°, rel. 28
2θ = 47.33°, rel. 100
2θ = 47.82°, rel. 52
2θ = 48.62°, rel. 22



Theoretical XRD peak list
Compound: LaPr2Se
Radiation: a wavelength of 1.5418 Å
Structure: a structure optimized by DFT (GGA-PBE)

Structure:
abc: 10.1470 10.1470 10.1470
angles: 22.49 22.49 22.49
Element x y z (fractional)
La  0.0000  0.0000  0.0000
Pr  0.2318  0.2318  0.2318
Pr  0.7682  0.7682  0.7682
Se  0.5000  0.5000  0.5000

Main lines, in order of rising 2θ (15 to 90 degrees two-theta):
2θ = 27.06°, rel. 16
2θ = 28.70°, rel. 100
2θ = 30.12°, rel. 18
2θ = 35.68°, rel. 38
2θ = 45.87°, rel. 33
2θ = 47.90°, rel. 13
2θ = 54.06°, rel. 14
2θ = 55.00°, rel. 16
2θ = 59.44°, rel. 15
2θ = 74.34°, rel. 13



Theoretical XRD peak list
Compound: CsTbInSe3
Radiation: a wavelength of 1.5418 Å
Structure: a structure optimized by DFT (GGA-PBE)

Structure:
abc: 9.3298 4.1397 11.6405
angles: 90.00 109.96 90.00
Element x y z (fractional)
Cs  0.2354  0.2500  0.2729
Cs  0.7646  0.7500  0.7271
Tb  0.3562  0.7500  0.8558
Tb  0.6438  0.2500  0.1442
In  0.1293  0.2500  0.5810
In  0.8707  0.7500  0.4190
Se  0.1203  0.2500  0.8061
Se  0.3258  0.7500  0.5909
Se  0.4216  0.7500  0.1124
Se  0.5784  0.2500  0.8876
Se  0.6742  0.2500  0.4091
Se  0.8797  0.7500  0.1939

Main lines, in order of rising 2θ (15 to 90 degrees two-theta):
2θ = 22.98°, rel. 23
2θ = 26.26°, rel. 34
2θ = 28.85°, rel. 25
2θ = 29.56°, rel. 22
2θ = 29.68°, rel. 100
2θ = 30.74°, rel. 42
2θ = 32.69°, rel. 22
2θ = 36.20°, rel. 29
2θ = 38.91°, rel. 30
2θ = 43.74°, rel. 61



Theoretical XRD peak list
Compound: Rb2OsAu
Radiation: a wavelength of 1.5418 Å
Structure: a structure optimized by DFT (GGA-PBE)

Structure:
abc: 8.8989 8.8989 8.8989
angles: 94.73 94.73 146.61
Element x y z (fractional)
Rb  0.3750  0.2212  0.3462
Rb  0.7788  0.1250  0.1538
Rb  0.8750  0.0288  0.6538
Rb  0.9712  0.6250  0.8462
Os  0.2500  0.7500  0.5000
Os  0.5000  0.5000  0.0000
Au  0.0000  0.0000  0.0000
Au  0.7500  0.2500  0.5000

Main lines, in order of rising 2θ (15 to 90 degrees two-theta):
2θ = 20.84°, rel. 71
2θ = 29.64°, rel. 48
2θ = 33.24°, rel. 100
2θ = 36.70°, rel. 52
2θ = 42.58°, rel. 66
2θ = 47.72°, rel. 30
2θ = 47.86°, rel. 28
2θ = 52.74°, rel. 36
2θ = 57.32°, rel. 29
2θ = 65.85°, rel. 29